No. 1
Structure and calculated PXRD pattern of Hg3OF5 (a cell relaxed with GGA-PBE; λ = 1.5418 Å (Cu Kα)).
No peak broadening, texture or thermal motion is included.

abc: 10.2864 7.6822 8.0251
angles: 90.00 107.62 90.00
Space group C2/m (No. 12)
Inequivalent atoms, fractional coordinates:
1 Hg 0.0000 0.0000 0.0000 (multiplicity 2)
2 Hg 0.0000 0.0000 0.5000 (multiplicity 2)
3 Hg 0.1598 0.5000 0.1691 (multiplicity 4)
4 Hg 0.1922 0.5000 0.6418 (multiplicity 4)
5 O 0.0852 0.0000 0.2849 (multiplicity 4)
6 F 0.0000 0.3028 0.0000 (multiplicity 4)
7 F 0.0301 0.5000 0.3546 (multiplicity 4)
8 F 0.1794 0.1898 0.6446 (multiplicity 8)
9 F 0.2299 0.0000 0.0329 (multiplicity 4)

Principal peaks in the range 15° ≤ 2θ ≤ 90°, sorted by position:
hkl 0 2 0, 23.2°, rel. 100
hkl 2 0 -2, 24.8°, rel. 75
hkl 3 1 0, 29.7°, rel. 83
hkl 1 1 2, 29.9°, rel. 90
hkl 2 2 -2, 34.2°, rel. 46
hkl 1 3 2, 45.1°, rel. 38


No. 2
Structure and calculated PXRD pattern of Ac2Ti3O8 (a cell relaxed with GGA-PBE; λ = 1.5418 Å (Cu Kα)).
No peak broadening, texture or thermal motion is included.

abc: 3.9570 3.9570 11.2154
angles: 90.00 90.00 90.00
Space group P4/mmm (No. 123)
Inequivalent atoms, fractional coordinates:
1 Ac 0.0000 0.0000 0.1930 (multiplicity 2)
2 Ti 0.5000 0.5000 0.0000 (multiplicity 1)
3 Ti 0.5000 0.5000 0.3642 (multiplicity 2)
4 O 0.0000 0.5000 0.0000 (multiplicity 2)
5 O 0.0000 0.5000 0.3480 (multiplicity 4)
6 O 0.5000 0.5000 0.1758 (multiplicity 2)

Principal peaks in the range 15° ≤ 2θ ≤ 90°, sorted by position:
hkl 0 0 2, 15.8°, rel. 52
hkl 1 0 2, 27.6°, rel. 73
hkl 1 1 0, 32.0°, rel. 56
hkl 1 0 3, 33.0°, rel. 100
hkl 0 0 5, 40.2°, rel. 53
hkl 2 0 0, 45.9°, rel. 39


No. 3
Structure and calculated PXRD pattern of SmGe2Rh5 (a cell relaxed with GGA-PBE; λ = 1.5418 Å (Cu Kα)).
No peak broadening, texture or thermal motion is included.

abc: 3.8851 6.9593 9.9442
angles: 90.00 90.00 90.00
Space group Immm (No. 71)
Inequivalent atoms, fractional coordinates:
1 Sm 0.0000 0.0000 0.0000 (multiplicity 2)
2 Ge 0.0000 0.5000 0.2430 (multiplicity 4)
3 Rh 0.0000 0.1978 0.3587 (multiplicity 8)
4 Rh 0.0000 0.5000 0.0000 (multiplicity 2)

Principal peaks in the range 15° ≤ 2θ ≤ 90°, sorted by position:
hkl 1 0 3, 35.6°, rel. 84
hkl 1 2 1, 35.8°, rel. 100
hkl 0 2 4, 44.8°, rel. 60
hkl 1 3 0, 45.5°, rel. 24
hkl 2 0 0, 46.8°, rel. 36
hkl 2 2 4, 66.8°, rel. 36


No. 4
Structure and calculated PXRD pattern of Ba3ICl5 (a cell relaxed with GGA-PBE; λ = 1.5418 Å (Cu Kα)).
No peak broadening, texture or thermal motion is included.

abc: 4.8513 16.8995 15.4194
angles: 90.00 90.00 90.00
Space group Cmcm (No. 63)
Inequivalent atoms, fractional coordinates:
1 Ba 0.0000 0.1189 0.0439 (multiplicity 8)
2 Ba 0.0000 0.3799 0.2500 (multiplicity 4)
3 I 0.0000 0.3232 0.7500 (multiplicity 4)
4 Cl 0.0000 0.0494 0.6448 (multiplicity 8)
5 Cl 0.0000 0.3008 0.0652 (multiplicity 8)
6 Cl 0.0000 0.5000 0.0000 (multiplicity 4)

Principal peaks in the range 15° ≤ 2θ ≤ 90°, sorted by position:
hkl 0 4 0, 21.0°, rel. 42
hkl 1 1 2, 22.3°, rel. 75
hkl 1 1 3, 25.8°, rel. 40
hkl 1 3 2, 26.9°, rel. 100
hkl 2 0 0, 37.1°, rel. 41
hkl 1 3 5, 38.1°, rel. 38


No. 5
Structure and calculated PXRD pattern of Er2GeO6 (a cell relaxed with GGA-PBE; λ = 1.5418 Å (Cu Kα)).
No peak broadening, texture or thermal motion is included.

abc: 4.9222 4.9222 9.8962
angles: 90.00 90.00 90.00
Space group P4_2/mnm (No. 136)
Inequivalent atoms, fractional coordinates:
1 Er 0.0000 0.0000 0.1707 (multiplicity 4)
2 Ge 0.0000 0.0000 0.5000 (multiplicity 2)
3 O 0.1849 0.1849 0.3570 (multiplicity 8)
4 O 0.2244 0.2244 0.0000 (multiplicity 4)

Principal peaks in the range 15° ≤ 2θ ≤ 90°, sorted by position:
hkl 1 1 0, 25.6°, rel. 100
hkl 1 0 3, 32.7°, rel. 86
hkl 2 0 0, 36.5°, rel. 25
hkl 2 1 3, 49.8°, rel. 67
hkl 2 2 0, 52.6°, rel. 17
hkl 3 0 3, 63.3°, rel. 19


No. 6
Structure and calculated PXRD pattern of PrGa12Pt4 (a cell relaxed with GGA-PBE; λ = 1.5418 Å (Cu Kα)).
No peak broadening, texture or thermal motion is included.

abc: 8.8459 8.8459 8.8459
angles: 90.00 90.00 90.00
Space group Im-3 (No. 204)
Inequivalent atoms, fractional coordinates:
1 Pr 0.0000 0.0000 0.0000 (multiplicity 2)
2 Ga 0.0000 0.3476 0.1548 (multiplicity 24)
3 Pt 0.2500 0.2500 0.2500 (multiplicity 8)

Principal peaks in the range 15° ≤ 2θ ≤ 90°, sorted by position:
hkl 2 0 0, 20.1°, rel. 62
hkl 2 2 0, 28.5°, rel. 100
hkl 3 0 1, 32.0°, rel. 83
hkl 3 1 2, 38.1°, rel. 40
hkl 4 0 2, 45.9°, rel. 78
hkl 4 2 2, 50.5°, rel. 93


No. 7
Structure and calculated PXRD pattern of CaCO3 (a cell relaxed with GGA-PBE; λ = 1.5418 Å (Cu Kα)).
No peak broadening, texture or thermal motion is included.

abc: 8.7189 5.0291 8.7284
angles: 90.00 90.09 90.00
Space group C2 (No. 5)
Inequivalent atoms, fractional coordinates:
1 Ca 0.0000 0.0000 0.0000 (multiplicity 2)
2 Ca 0.1666 0.5006 0.3345 (multiplicity 4)
3 C 0.0000 0.0009 0.5000 (multiplicity 2)
4 C 0.1669 0.4998 0.8300 (multiplicity 4)
5 O 0.0000 0.2592 0.5000 (multiplicity 2)
6 O 0.0386 0.6314 0.8303 (multiplicity 4)
7 O 0.1290 0.8717 0.5000 (multiplicity 4)
8 O 0.1653 0.2414 0.8304 (multiplicity 4)
9 O 0.2033 0.1265 0.1702 (multiplicity 4)

Principal peaks in the range 15° ≤ 2θ ≤ 90°, sorted by position:
hkl 2 0 2, 29.0°, rel. 100
hkl 0 2 0, 35.7°, rel. 15
hkl 3 1 1, 37.2°, rel. 11
hkl 4 0 1, 42.8°, rel. 15
hkl 1 1 4, 46.5°, rel. 24
hkl 3 1 -3, 47.8°, rel. 24


No. 8
Structure and calculated PXRD pattern of PmMn10Si2 (a cell relaxed with GGA-PBE; λ = 1.5418 Å (Cu Kα)).
No peak broadening, texture or thermal motion is included.

abc: 8.2875 9.6765 8.1209
angles: 90.00 90.00 90.00
Space group Cmcm (No. 63)
Inequivalent atoms, fractional coordinates:
1 Pm 0.0000 0.1275 0.2500 (multiplicity 4)
2 Mn 0.0000 0.1772 0.6111 (multiplicity 8)
3 Mn 0.0000 0.3993 0.0666 (multiplicity 8)
4 Mn 0.1338 0.3912 0.7500 (multiplicity 8)
5 Mn 0.2200 0.0000 0.0000 (multiplicity 8)
6 Mn 0.2478 0.1238 0.7500 (multiplicity 8)
7 Si 0.2500 0.2500 0.0000 (multiplicity 8)

Principal peaks in the range 15° ≤ 2θ ≤ 90°, sorted by position:
hkl 0 2 3, 38.1°, rel. 45
hkl 3 1 2, 40.6°, rel. 56
hkl 0 4 2, 43.5°, rel. 62
hkl 4 0 0, 43.7°, rel. 37
hkl 2 2 3, 44.1°, rel. 100
hkl 0 0 4, 44.6°, rel. 55


No. 9
Structure and calculated PXRD pattern of Tb4Dy3Sc2 (a cell relaxed with GGA-PBE; λ = 1.5418 Å (Cu Kα)).
No peak broadening, texture or thermal motion is included.

abc: 16.1997 11.3409 5.9301
angles: 90.00 96.97 90.00
Space group C2/c (No. 15)
Inequivalent atoms, fractional coordinates:
1 Tb 0.0650 0.1151 0.0460 (multiplicity 8)
2 Tb 0.2204 0.3928 0.8946 (multiplicity 8)
3 Dy 0.0000 0.3576 0.7500 (multiplicity 4)
4 Dy 0.1703 0.1529 0.5786 (multiplicity 8)
5 Sc 0.0991 0.3859 0.3006 (multiplicity 8)

Principal peaks in the range 15° ≤ 2θ ≤ 90°, sorted by position:
hkl 5 1 -1, 31.0°, rel. 61
hkl 1 1 -2, 31.2°, rel. 56
hkl 0 4 0, 31.6°, rel. 47
hkl 4 2 1, 32.5°, rel. 100
hkl 1 3 -2, 38.6°, rel. 31
hkl 6 2 -3, 57.1°, rel. 32


No. 10
Structure and calculated PXRD pattern of TmSi2Ni8 (a cell relaxed with GGA-PBE; λ = 1.5418 Å (Cu Kα)).
No peak broadening, texture or thermal motion is included.

abc: 5.5558 5.5558 4.9934
angles: 90.00 90.00 90.00
Space group P4/mmm (No. 123)
Inequivalent atoms, fractional coordinates:
1 Tm 0.0000 0.0000 0.0000 (multiplicity 1)
2 Si 0.0000 0.5000 0.5000 (multiplicity 2)
3 Ni 0.2868 0.2868 0.2511 (multiplicity 8)

Principal peaks in the range 15° ≤ 2θ ≤ 90°, sorted by position:
hkl 1 0 1, 24.0°, rel. 42
hkl 1 1 1, 28.9°, rel. 47
hkl 2 1 0, 36.2°, rel. 39
hkl 1 0 2, 39.6°, rel. 33
hkl 2 2 0, 46.2°, rel. 52
hkl 2 0 2, 49.1°, rel. 100


No. 11
Structure and calculated PXRD pattern of NaCd (a cell relaxed with GGA-PBE; λ = 1.5418 Å (Cu Kα)).
No peak broadening, texture or thermal motion is included.

abc: 5.3605 3.3174 5.9746
angles: 90.00 90.00 90.00
Space group Amm2 (No. 38)
Inequivalent atoms, fractional coordinates:
1 Na 0.0000 0.0000 0.0000 (multiplicity 2)
2 Cd 0.5000 0.0000 0.6778 (multiplicity 2)

Principal peaks in the range 15° ≤ 2θ ≤ 90°, sorted by position:
hkl 1 0 0, 16.5°, rel. 80
hkl 0 1 1, 30.8°, rel. 50
hkl 2 0 0, 33.4°, rel. 34
hkl 1 0 2, 34.4°, rel. 57
hkl 1 1 1, 35.2°, rel. 100
hkl 2 1 1, 46.1°, rel. 32


No. 12
Structure and calculated PXRD pattern of Be4As3PbO12 (a cell relaxed with GGA-PBE; λ = 1.5418 Å (Cu Kα)).
No peak broadening, texture or thermal motion is included.

abc: 9.9318 9.9318 7.4471
angles: 90.00 90.00 120.00
Space group R32 (No. 155, hexagonal axes)
Inequivalent atoms, fractional coordinates:
1 Be 0.0000 0.0000 0.0000 (multiplicity 3)
2 Be 0.0000 0.4333 0.0000 (multiplicity 9)
3 As 0.0000 0.5569 0.5000 (multiplicity 9)
4 Pb 0.0000 0.0000 0.5000 (multiplicity 3)
5 O 0.0000 0.5940 0.0000 (multiplicity 9)
6 O 0.0000 0.8404 0.0000 (multiplicity 9)
7 O 0.0484 0.2255 0.7011 (multiplicity 18)

Principal peaks in the range 15° ≤ 2θ ≤ 90°, sorted by position:
hkl 1 0 1, 15.7°, rel. 25
hkl 1 1 0, 17.9°, rel. 28
hkl 0 2 1, 23.9°, rel. 100
hkl 2 1 1, 30.0°, rel. 25
hkl 2 0 2, 31.8°, rel. 73
hkl 2 2 0, 36.2°, rel. 28